Entry 1:
Calculated powder X-ray diffraction pattern of CsNa for copper Kα, from DFT lattice parameters and positions (GGA-PBE).
Intensities are scaled so that the largest is 100.

Structural model:
a b c (Å): 4.7645 4.7645 15.2006
angles (deg): 90.00 90.00 120.00
Space group P6_3mc (No. 186)
Inequivalent atoms, fractional coordinates:
1 Cs 0.3333 0.6667 0.0000 x2
2 Na 0.3333 0.6667 0.7304 x2

Principal peaks in the range 2θ from 10° to 80°, by intensity:
h k l  d_spacing  I_rel
1 0 1  3.982  100
1 0 3  3.199  68
0 0 2  7.600  65
1 1 4  2.018  28
0 0 4  3.800  27
1 0 0  4.126  26
1 1 0  2.382  24
1 0 5  2.448  22
1 1 2  2.273  20
1 0 4  2.795  18

***

Entry 2:
Calculated powder X-ray diffraction pattern of Ac6LaTl5 for copper Kα, from DFT lattice parameters and positions (GGA-PBE).
Intensities are scaled so that the largest is 100.

Structural model:
a b c (Å): 5.5512 17.3660 9.0123
angles (deg): 90.00 90.00 90.00
Space group Cmmm (No. 65)
Inequivalent atoms, fractional coordinates:
1 Ac 0.0000 0.0000 0.2222 x4
2 Ac 0.0000 0.3254 0.2528 x8
3 La 0.0000 0.5000 0.5000 x2
4 Tl 0.0000 0.1420 0.5000 x4
5 Tl 0.0000 0.1724 0.0000 x4
6 Tl 0.0000 0.5000 0.0000 x2

Principal peaks in the range 2θ from 10° to 80°, by intensity:
h k l  d_spacing  I_rel
1 3 2  2.994  100
2 0 0  2.776  22
0 6 0  2.894  20
3 3 2  1.641  18
2 6 0  2.003  15
1 9 2  1.690  14
2 6 4  1.497  12
0 0 4  2.253  11
2 0 4  1.749  11
0 6 4  1.778  9

***

Entry 3:
Calculated powder X-ray diffraction pattern of Sc3Zn7Ag for copper Kα, from DFT lattice parameters and positions (GGA-PBE).
Intensities are scaled so that the largest is 100.

Structural model:
a b c (Å): 3.1681 19.5568 12.9499
angles (deg): 90.00 90.00 90.00
Space group Cmcm (No. 63)
Inequivalent atoms, fractional coordinates:
1 Sc 0.0000 0.1176 0.0501 x8
2 Sc 0.0000 0.2592 0.7500 x4
3 Zn 0.0000 0.2631 0.0709 x8
4 Zn 0.0000 0.3724 0.1520 x8
5 Zn 0.0000 0.4085 0.7500 x4
6 Zn 0.0000 0.4966 0.0922 x8
7 Ag 0.0000 0.0329 0.7500 x4

Principal peaks in the range 2θ from 10° to 80°, by intensity:
h k l  d_spacing  I_rel
1 1 3  2.533  100
1 5 2  2.301  73
0 8 0  2.445  54
1 3 2  2.608  52
0 2 1  7.804  40
1 1 4  2.249  40
0 4 6  1.974  40
0 6 5  2.028  38
0 2 2  5.399  37
1 5 3  2.139  37

***

Entry 4:
Calculated powder X-ray diffraction pattern of La6TlCo for copper Kα, from DFT lattice parameters and positions (GGA-PBE).
Intensities are scaled so that the largest is 100.

Structural model:
a b c (Å): 8.1755 10.3055 6.5122
angles (deg): 90.00 105.25 90.00
Space group C2/m (No. 12)
Inequivalent atoms, fractional coordinates:
1 La 0.1090 0.1952 0.2879 x8
2 La 0.2167 0.5000 0.1051 x4
3 Tl 0.0000 0.5000 0.5000 x2
4 Co 0.0000 0.0000 0.0000 x2

Principal peaks in the range 2θ from 10° to 80°, by intensity:
h k l  d_spacing  I_rel
2 2 -1  3.074  100
2 0 1  3.003  55
1 3 1  2.704  53
0 2 2  2.682  45
1 3 0  3.149  45
3 1 -1  2.603  41
2 2 -2  2.494  24
3 5 -1  1.636  23
1 5 -2  1.737  22
4 2 0  1.842  21

***

Entry 5:
Calculated powder X-ray diffraction pattern of Y2ZnCu2Pd5 for copper Kα, from DFT lattice parameters and positions (GGA-PBE).
Intensities are scaled so that the largest is 100.

Structural model:
a b c (Å): 9.3938 9.3938 3.8717
angles (deg): 90.00 90.00 90.00
Space group P4/mbm (No. 127)
Inequivalent atoms, fractional coordinates:
1 Y 0.1754 0.3246 0.0000 x4
2 Zn 0.0000 0.0000 0.0000 x2
3 Cu 0.1223 0.6223 0.0000 x4
4 Pd 0.0000 0.5000 0.5000 x2
5 Pd 0.0689 0.7983 0.5000 x8

Principal peaks in the range 2θ from 10° to 80°, by intensity:
h k l  d_spacing  I_rel
3 1 1  2.357  100
3 2 1  2.162  43
4 1 0  2.278  42
0 0 2  1.936  28
4 1 2  1.475  21
2 2 1  2.521  19
2 1 1  2.847  15
4 2 0  2.101  13
3 3 0  2.214  13
4 0 1  2.008  10

***

Entry 6:
Calculated powder X-ray diffraction pattern of LaDy3Tl3 for copper Kα, from DFT lattice parameters and positions (GGA-PBE).
Intensities are scaled so that the largest is 100.

Structural model:
a b c (Å): 9.4562 9.4562 9.4562
angles (deg): 90.00 90.00 90.00
Space group P2_13 (No. 198)
Inequivalent atoms, fractional coordinates:
1 La 0.0685 0.4315 0.5685 x4
2 Dy 0.0862 0.5862 0.9138 x4
3 Dy 0.1781 0.1781 0.1781 x4
4 Dy 0.1822 0.8178 0.3178 x4
5 Tl 0.0007 0.2648 0.8880 x12

Principal peaks in the range 2θ from 10° to 80°, by intensity:
h k l  d_spacing  I_rel
3 1 0  2.990  100
3 2 1  2.527  69
6 1 1  1.534  28
4 1 3  1.855  18
4 0 2  2.114  17
7 1 2  1.287  15
5 1 4  1.459  15
4 2 2  1.930  14
3 3 2  2.016  11
6 2 0  1.495  11

***

Entry 7:
Calculated powder X-ray diffraction pattern of Ba3Tl2 for copper Kα, from DFT lattice parameters and positions (GGA-PBE).
Intensities are scaled so that the largest is 100.

Structural model:
a b c (Å): 4.3560 4.3560 23.6206
angles (deg): 90.00 90.00 90.00
Space group I4/mmm (No. 139)
Inequivalent atoms, fractional coordinates:
1 Ba 0.0000 0.0000 0.0000 x2
2 Ba 0.0000 0.0000 0.1740 x4
3 Tl 0.0000 0.0000 0.4075 x4

Principal peaks in the range 2θ from 10° to 80°, by intensity:
h k l  d_spacing  I_rel
1 0 5  3.202  100
1 1 0  3.080  58
2 1 5  1.801  39
1 0 7  2.668  23
2 0 0  2.178  22
1 1 12  1.659  13
2 1 7  1.687  12
0 0 4  5.905  11
3 1 0  1.378  10
1 1 10  1.874  10

***

Entry 8:
Calculated powder X-ray diffraction pattern of PmDy4Tl4 for copper Kα, from DFT lattice parameters and positions (GGA-PBE).
Intensities are scaled so that the largest is 100.

Structural model:
a b c (Å): 9.4735 9.4735 5.9089
angles (deg): 90.00 90.00 90.00
Space group P4_2/n (No. 86, origin choice 2)
Inequivalent atoms, fractional coordinates:
1 Pm 0.2500 0.2500 0.2500 x2
2 Dy 0.0926 0.8283 0.6386 x8
3 Tl 0.0381 0.1451 0.8524 x8

Principal peaks in the range 2θ from 10° to 80°, by intensity:
h k l  d_spacing  I_rel
3 1 0  2.996  100
2 3 1  2.401  76
3 0 1  2.785  72
2 1 2  2.423  70
1 0 2  2.820  59
2 2 1  2.914  41
5 0 2  1.595  24
5 4 1  1.435  23
1 3 1  2.672  21
6 1 1  1.506  20